The following is a computed X-ray powder pattern of AcCd9Ga2. It was derived from a cell relaxed with GGA-PBE, using CuKα.

Atomic structure:
Unit cell a=11.767 b=11.767 c=8.078 alpha=90.00 beta=90.00 gamma=90.00
Space group I4_1/amd (No. 141, origin choice 2)
Unique sites:
Ac1 0.000 0.250 0.375 [4 per cell]
Cd1 0.000 0.250 0.875 [4 per cell]
Cd2 0.122 0.050 0.672 [32 per cell]
Ga1 0.000 0.000 0.000 [8 per cell]

Peak list (12 most intense, 10 to 80 degrees two-theta, by intensity)
Position (°2θ), d [Å], I/Imax
32.72, 2.737, 100
34.10, 2.629, 83
39.90, 2.259, 43
60.14, 1.539, 28
29.52, 3.026, 25
40.94, 2.205, 16
71.75, 1.316, 12
37.52, 2.397, 12
65.39, 1.427, 12
57.53, 1.602, 12
46.33, 1.960, 9
37.84, 2.378, 9

The following is a computed X-ray powder pattern of Ac3Cd2Ga4. It was derived from a cell relaxed with GGA-PBE, using CuKα.

Atomic structure:
Unit cell a=11.860 b=4.717 c=9.284 alpha=90.00 beta=105.43 gamma=90.00
Space group C2/m (No. 12)
Unique sites:
Ac1 0.000 0.000 0.000 [2 per cell]
Ac2 0.169 0.500 0.668 [4 per cell]
Cd1 0.107 0.500 0.276 [4 per cell]
Ga1 0.070 0.000 0.415 [4 per cell]
Ga2 0.202 0.500 0.028 [4 per cell]

Peak list (12 most intense, 10 to 80 degrees two-theta, by intensity)
Position (°2θ), d [Å], I/Imax
30.16, 2.963, 100
38.13, 2.360, 90
30.03, 2.976, 67
21.74, 4.088, 41
29.95, 2.983, 34
49.42, 1.844, 26
41.78, 2.162, 20
68.91, 1.363, 18
49.25, 1.850, 17
58.04, 1.589, 16
64.11, 1.453, 16
57.86, 1.594, 16

The following is a computed X-ray powder pattern of Ac2Mg3CdGa4. It was derived from a cell relaxed with GGA-PBE, using CuKα.

Atomic structure:
Unit cell a=4.630 b=4.630 c=11.346 alpha=90.00 beta=90.00 gamma=90.00
Space group P-4m2 (No. 115)
Unique sites:
Ac1 0.000 0.500 0.244 [2 per cell]
Mg1 0.000 0.500 0.874 [2 per cell]
Mg2 0.500 0.500 0.500 [1 per cell]
Cd1 0.000 0.000 0.500 [1 per cell]
Ga1 0.000 0.000 0.000 [1 per cell]
Ga2 0.000 0.500 0.640 [2 per cell]
Ga3 0.500 0.500 0.000 [1 per cell]

Peak list (12 most intense, 10 to 80 degrees two-theta, by intensity)
Position (°2θ), d [Å], I/Imax
31.55, 2.836, 100
30.52, 2.929, 51
20.72, 4.287, 39
38.90, 2.315, 38
44.47, 2.037, 35
65.88, 1.418, 30
50.23, 1.816, 26
56.18, 1.637, 25
60.53, 1.530, 25
27.24, 3.274, 14
74.33, 1.276, 12
50.92, 1.793, 12

The following is a computed X-ray powder pattern of Ac2CdGaPd6. It was derived from a cell relaxed with GGA-PBE, using CuKα.

Atomic structure:
Unit cell a=12.228 b=5.624 c=8.784 alpha=90.00 beta=133.18 gamma=90.00
Space group C2/m (No. 12)
Unique sites:
Ac1 0.249 0.000 0.216 [4 per cell]
Cd1 0.000 0.500 0.000 [2 per cell]
Ga1 0.000 0.000 0.500 [2 per cell]
Pd1 0.005 0.251 0.741 [8 per cell]
Pd2 0.248 0.000 0.584 [4 per cell]

Peak list (12 most intense, 10 to 80 degrees two-theta, by intensity)
Position (°2θ), d [Å], I/Imax
27.84, 3.205, 100
38.01, 2.367, 93
37.83, 2.378, 91
40.47, 2.229, 76
27.12, 3.287, 70
39.45, 2.284, 58
40.96, 2.203, 53
28.01, 3.186, 41
57.51, 1.602, 38
29.22, 3.057, 32
62.92, 1.477, 30
55.94, 1.644, 30